Starting from a DFT-relaxed cell (PBE, Alexandria), the XRD peak list of PrTm6Th2 was simulated for Cu Ka.

Main lines, most intense first (2θ = 15–90°):
- 31.42°, rel. 100
- 32.02°, rel. 41
- 32.53°, rel. 33
- 28.87°, rel. 33
- 33.58°, rel. 31
- 33.87°, rel. 30

Structural model:
```
data_PrTm6Th2
_chemical_formula_sum 'Pr2 Tm12 Th4'
_cell_length_a 9.487
_cell_length_b 9.487
_cell_length_c 6.551
_cell_angle_alpha 97.62
_cell_angle_beta 97.62
_cell_angle_gamma 96.11
_symmetry_space_group_name_H-M 'P 1'
_symmetry_Int_Tables_number 1
_symmetry_space_group_name_Hall 'P 1'
loop_
_atom_site_label
_atom_site_type_symbol
_atom_site_fract_x
_atom_site_fract_y
_atom_site_fract_z
Pr1 Pr 0.116 0.884 0.750
Pr2 Pr 0.884 0.116 0.250
Tm1 Tm 0.053 0.224 0.817
Tm2 Tm 0.060 0.458 0.268
Tm3 Tm 0.224 0.053 0.317
Tm4 Tm 0.275 0.656 0.998
Tm5 Tm 0.344 0.725 0.502
Tm6 Tm 0.458 0.060 0.768
Tm7 Tm 0.542 0.940 0.232
Tm8 Tm 0.656 0.275 0.498
Tm9 Tm 0.725 0.344 0.002
Tm10 Tm 0.776 0.947 0.683
Tm11 Tm 0.940 0.542 0.732
Tm12 Tm 0.947 0.776 0.183
Th1 Th 0.339 0.392 0.622
Th2 Th 0.392 0.339 0.122
Th3 Th 0.608 0.661 0.878
Th4 Th 0.661 0.608 0.378
```

---

Starting from a DFT-relaxed cell (PBE, Alexandria), the XRD peak list of Pr4Sm3In was simulated for Cu Ka.

Main lines, most intense first (2θ = 15–90°):
- 30.29°, rel. 100
- 35.28°, rel. 100
- 30.57°, rel. 97
- 50.73°, rel. 47
- 60.14°, rel. 42
- 60.61°, rel. 27

Structural model:
```
data_Pr4Sm3In
_chemical_formula_sum 'Pr8 Sm6 In2'
_cell_length_a 10.190
_cell_length_b 7.142
_cell_length_c 7.240
_cell_angle_alpha 90.00
_cell_angle_beta 90.00
_cell_angle_gamma 90.00
_symmetry_space_group_name_H-M 'P 1'
_symmetry_Int_Tables_number 1
_symmetry_space_group_name_Hall 'P 1'
loop_
_atom_site_label
_atom_site_type_symbol
_atom_site_fract_x
_atom_site_fract_y
_atom_site_fract_z
Pr1 Pr 0.000 0.001 0.000
Pr2 Pr 0.000 0.499 0.500
Pr3 Pr 0.250 0.244 0.750
Pr4 Pr 0.250 0.756 0.250
Pr5 Pr 0.500 0.501 0.000
Pr6 Pr 0.500 0.999 0.500
Pr7 Pr 0.750 0.244 0.750
Pr8 Pr 0.750 0.756 0.250
Sm1 Sm 0.000 0.500 0.000
Sm2 Sm 0.250 0.239 0.250
Sm3 Sm 0.250 0.761 0.750
Sm4 Sm 0.500 0.500 0.500
Sm5 Sm 0.750 0.239 0.250
Sm6 Sm 0.750 0.761 0.750
In1 In 0.000 0.000 0.500
In2 In 0.500 0.000 0.000
```

---

Starting from a DFT-relaxed cell (PBE, Alexandria), the XRD peak list of MgTiSiO5 was simulated for Cu Ka.

Main lines, most intense first (2θ = 15–90°):
- 27.01°, rel. 100
- 31.02°, rel. 66
- 34.95°, rel. 40
- 34.57°, rel. 38
- 18.27°, rel. 35
- 27.83°, rel. 25

Structural model:
```
data_MgTiSiO5
_chemical_formula_sum 'Mg2 Ti2 Si2 O10'
_cell_length_a 5.221
_cell_length_b 5.443
_cell_length_c 7.135
_cell_angle_alpha 105.48
_cell_angle_beta 102.56
_cell_angle_gamma 107.31
_symmetry_space_group_name_H-M 'P 1'
_symmetry_Int_Tables_number 1
_symmetry_space_group_name_Hall 'P 1'
loop_
_atom_site_label
_atom_site_type_symbol
_atom_site_fract_x
_atom_site_fract_y
_atom_site_fract_z
Mg1 Mg 0.000 0.000 0.000
Mg2 Mg 0.329 0.596 0.399
Ti1 Ti 0.662 0.301 0.212
Ti2 Ti 0.672 0.292 0.714
Si1 Si 0.353 0.620 0.941
Si2 Si 0.978 0.975 0.454
O1 O 0.063 0.500 0.747
O2 O 0.271 0.093 0.645
O3 O 0.359 0.438 0.097
O4 O 0.360 0.922 0.078
O5 O 0.569 0.371 0.443
O6 O 0.635 0.650 0.866
O7 O 0.698 0.942 0.530
O8 O 0.764 0.222 0.948
O9 O 0.971 0.674 0.314
O10 O 0.972 0.161 0.300
```